For LiFeF4, a cell relaxed with PBE+U gives the computed X-ray diffraction stick pattern in this record (λ = 1.5418 Å (Cu Kα)).

```
data_LiFeF4
_chemical_formula_sum 'Li4 Fe4 F16'
_cell_length_a 11.212
_cell_length_b 5.234
_cell_length_c 5.614
_cell_angle_alpha 90.00
_cell_angle_beta 94.92
_cell_angle_gamma 90.00
_symmetry_space_group_name_H-M 'C 1 2/c 1'
_symmetry_Int_Tables_number 15
loop_
_symmetry_equiv_pos_as_xyz
'x,y,z'
'-x,-y,-z'
'-x,y,-z+1/2'
'x,-y,z+1/2'
'x+1/2,y+1/2,z'
'-x+1/2,-y+1/2,-z'
'-x+1/2,y+1/2,-z+1/2'
'x+1/2,-y+1/2,z+1/2'
loop_
_atom_site_label
_atom_site_type_symbol
_atom_site_fract_x
_atom_site_fract_y
_atom_site_fract_z
Li1 Li 0.000 0.217 0.250
Fe1 Fe 0.250 0.250 0.000
F1 F 0.078 0.224 0.976
F2 F 0.239 0.431 0.309
```

Main lines, sorted by position (15° ≤ 2θ ≤ 90°):
| two_theta | Rel. int. |
| --- | --- |
| 15.87 | 1000 |
| 24.17 | 712 |
| 25.06 | 680 |
| 32.03 | 388 |
| 34.26 | 161 |
| 47.59 | 248 |
| 48.38 | 163 |
| 48.92 | 146 |
| 49.50 | 104 |
| 52.05 | 180 |

***

For Li2Si4Ni4O13, a cell relaxed with PBE+U gives the computed X-ray diffraction stick pattern in this record (λ = 1.5418 Å (Cu Kα)).

```
data_Li2Si4Ni4O13
_chemical_formula_sum 'Li4 Si8 Ni8 O26'
_cell_length_a 6.750
_cell_length_b 7.868
_cell_length_c 10.134
_cell_angle_alpha 67.28
_cell_angle_beta 80.72
_cell_angle_gamma 77.73
_symmetry_space_group_name_H-M 'P -1'
_symmetry_Int_Tables_number 2
loop_
_symmetry_equiv_pos_as_xyz
'x,y,z'
'-x,-y,-z'
loop_
_atom_site_label
_atom_site_type_symbol
_atom_site_fract_x
_atom_site_fract_y
_atom_site_fract_z
Li1 Li 0.221 0.499 0.118
Li2 Li 0.249 0.968 0.576
Si1 Si 0.078 0.830 0.285
Si2 Si 0.271 0.583 0.821
Si3 Si 0.272 0.139 0.286
Si4 Si 0.380 0.160 0.716
Ni1 Ni 0.080 0.559 0.613
Ni2 Ni 0.087 0.191 0.992
Ni3 Ni 0.422 0.444 0.385
Ni4 Ni 0.429 0.806 0.012
O1 O 0.092 0.455 0.837
O2 O 0.124 0.979 0.349
O3 O 0.139 0.613 0.392
O4 O 0.142 0.883 0.113
O5 O 0.165 0.123 0.694
O6 O 0.209 0.275 0.376
O7 O 0.209 0.705 0.926
O8 O 0.280 0.706 0.646
O9 O 0.284 0.239 0.112
O10 O 0.390 0.101 0.888
O11 O 0.406 0.369 0.607
O12 O 0.488 0.005 0.343
O13 O 0.493 0.535 0.159
```

Main lines, sorted by position (15° ≤ 2θ ≤ 90°):
| two_theta | Rel. int. |
| --- | --- |
| 18.18 | 373 |
| 28.76 | 663 |
| 29.84 | 767 |
| 32.60 | 1000 |
| 32.72 | 942 |
| 35.95 | 359 |
| 37.70 | 253 |
| 38.44 | 238 |
| 50.89 | 304 |
| 54.36 | 442 |

***

For Fe7P8O32, a cell relaxed with PBE+U gives the computed X-ray diffraction stick pattern in this record (λ = 1.5418 Å (Cu Kα)).

```
data_Fe7P8O32
_chemical_formula_sum 'Fe14 P16 O64'
_cell_length_a 9.836
_cell_length_b 12.038
_cell_length_c 11.178
_cell_angle_alpha 90.00
_cell_angle_beta 115.78
_cell_angle_gamma 90.00
_symmetry_space_group_name_H-M 'C 1 m 1'
_symmetry_Int_Tables_number 8
loop_
_symmetry_equiv_pos_as_xyz
'x,y,z'
'x,-y,z'
'x+1/2,y+1/2,z'
'x+1/2,-y+1/2,z'
loop_
_atom_site_label
_atom_site_type_symbol
_atom_site_fract_x
_atom_site_fract_y
_atom_site_fract_z
Fe1 Fe 0.000 0.000 0.000
Fe2 Fe 0.004 0.500 0.003
Fe3 Fe 0.259 0.255 0.552
Fe4 Fe 0.275 0.251 0.052
Fe5 Fe 0.485 0.500 0.501
P1 P 0.292 0.000 0.676
P2 P 0.304 0.500 0.676
P3 P 0.360 0.000 0.171
P4 P 0.364 0.500 0.175
P5 P 0.395 0.252 0.380
P6 P 0.464 0.250 0.878
O1 O 0.060 0.252 0.403
O2 O 0.072 0.349 0.954
O3 O 0.074 0.151 0.955
O4 O 0.188 0.100 0.602
O5 O 0.197 0.000 0.153
O6 O 0.199 0.500 0.155
O7 O 0.205 0.398 0.606
O8 O 0.291 0.250 0.230
O9 O 0.319 0.251 0.899
O10 O 0.332 0.000 0.827
O11 O 0.340 0.500 0.825
O12 O 0.349 0.163 0.457
O13 O 0.362 0.358 0.448
O14 O 0.394 0.099 0.095
O15 O 0.396 0.401 0.098
O16 O 0.428 0.249 0.731
O17 O 0.452 0.000 0.683
O18 O 0.453 0.500 0.661
O19 O 0.463 0.000 0.320
O20 O 0.474 0.500 0.322
```

Main lines, sorted by position (15° ≤ 2θ ≤ 90°):
| two_theta | Rel. int. |
| --- | --- |
| 17.62 | 673 |
| 20.10 | 1000 |
| 23.04 | 321 |
| 25.00 | 592 |
| 29.68 | 635 |
| 35.59 | 388 |
| 35.74 | 380 |
| 47.76 | 212 |
| 51.23 | 177 |
| 51.40 | 182 |

***

For Na2LiMnPCO7, a cell relaxed with PBE+U gives the computed X-ray diffraction stick pattern in this record (λ = 1.5418 Å (Cu Kα)).

```
data_Na2LiMnPCO7
_chemical_formula_sum 'Na8 Li4 Mn4 P4 C4 O28'
_cell_length_a 6.792
_cell_length_b 8.879
_cell_length_c 10.289
_cell_angle_alpha 90.86
_cell_angle_beta 90.19
_cell_angle_gamma 91.01
_symmetry_space_group_name_H-M 'P 1'
_symmetry_Int_Tables_number 1
loop_
_symmetry_equiv_pos_as_xyz
'x,y,z'
loop_
_atom_site_label
_atom_site_type_symbol
_atom_site_fract_x
_atom_site_fract_y
_atom_site_fract_z
Na1 Na 0.000 0.000 0.000
Na2 Na 0.000 0.494 0.753
Na3 Na 0.002 0.002 0.504
Na4 Na 0.496 0.001 0.502
Na5 Na 0.498 0.491 0.252
Na6 Na 0.733 0.665 0.005
Na7 Na 0.746 0.663 0.505
Na8 Na 0.999 0.490 0.251
Li1 Li 0.254 0.847 0.249
Li2 Li 0.277 0.835 0.757
Li3 Li 0.469 0.022 0.015
Li4 Li 0.536 0.466 0.736
Mn1 Mn 0.249 0.387 0.010
Mn2 Mn 0.253 0.383 0.521
Mn3 Mn 0.743 0.106 0.233
Mn4 Mn 0.746 0.101 0.743
P1 P 0.246 0.155 0.269
P2 P 0.257 0.154 0.777
P3 P 0.737 0.334 0.976
P4 P 0.751 0.333 0.485
C1 C 0.249 0.695 0.489
C2 C 0.259 0.705 0.994
C3 C 0.739 0.798 0.759
C4 C 0.747 0.807 0.259
O1 O 0.060 0.059 0.231
O2 O 0.063 0.069 0.739
O3 O 0.244 0.831 0.446
O4 O 0.246 0.314 0.209
O5 O 0.246 0.599 0.905
O6 O 0.247 0.668 0.613
O7 O 0.253 0.671 0.116
O8 O 0.256 0.174 0.420
O9 O 0.257 0.584 0.405
O10 O 0.269 0.317 0.723
O11 O 0.271 0.168 0.929
O12 O 0.277 0.844 0.957
O13 O 0.422 0.057 0.221
O14 O 0.426 0.052 0.727
O15 O 0.564 0.430 0.027
O16 O 0.572 0.426 0.535
O17 O 0.723 0.653 0.767
O18 O 0.726 0.323 0.824
O19 O 0.729 0.170 0.029
O20 O 0.741 0.317 0.333
O21 O 0.741 0.894 0.362
O22 O 0.745 0.863 0.646
O23 O 0.747 0.868 0.145
O24 O 0.748 0.883 0.862
O25 O 0.751 0.173 0.543
O26 O 0.753 0.662 0.271
O27 O 0.930 0.419 0.017
O28 O 0.938 0.427 0.524
```

Main lines, sorted by position (15° ≤ 2θ ≤ 90°):
| two_theta | Rel. int. |
| --- | --- |
| 19.82 | 194 |
| 20.08 | 198 |
| 26.26 | 1000 |
| 32.96 | 364 |
| 33.49 | 292 |
| 34.75 | 191 |
| 34.88 | 439 |
| 48.60 | 184 |
| 49.46 | 178 |
| 54.01 | 218 |

***

For Na4AlFe3O8, a cell relaxed with PBE+U gives the computed X-ray diffraction stick pattern in this record (λ = 1.5418 Å (Cu Kα)).

```
data_Na4AlFe3O8
_chemical_formula_sum 'Na4 Al1 Fe3 O8'
_cell_length_a 5.439
_cell_length_b 5.756
_cell_length_c 7.116
_cell_angle_alpha 89.99
_cell_angle_beta 89.98
_cell_angle_gamma 89.91
_symmetry_space_group_name_H-M 'P 1'
_symmetry_Int_Tables_number 1
loop_
_symmetry_equiv_pos_as_xyz
'x,y,z'
loop_
_atom_site_label
_atom_site_type_symbol
_atom_site_fract_x
_atom_site_fract_y
_atom_site_fract_z
Na1 Na 0.000 0.000 0.000
Na2 Na 0.001 0.490 0.747
Na3 Na 0.497 0.162 0.246
Na4 Na 0.498 0.663 0.509
Al1 Al 0.509 0.145 0.752
Fe1 Fe 0.009 0.016 0.504
Fe2 Fe 0.010 0.515 0.252
Fe3 Fe 0.509 0.647 0.994
O1 O 0.353 0.046 0.546
O2 O 0.356 0.544 0.219
O3 O 0.429 0.966 0.948
O4 O 0.430 0.443 0.791
O5 O 0.833 0.124 0.717
O6 O 0.857 0.627 0.030
O7 O 0.927 0.695 0.469
O8 O 0.929 0.194 0.286
```

Main lines, sorted by position (15° ≤ 2θ ≤ 90°):
| two_theta | Rel. int. |
| --- | --- |
| 19.84 | 487 |
| 20.55 | 531 |
| 29.51 | 574 |
| 31.07 | 446 |
| 32.94 | 671 |
| 33.90 | 1000 |
| 35.28 | 292 |
| 44.81 | 233 |
| 54.32 | 349 |
| 59.43 | 388 |

***

For MgCr2O4, a cell relaxed with PBE+U gives the computed X-ray diffraction stick pattern in this record (λ = 1.5418 Å (Cu Kα)).

```
data_MgCr2O4
_chemical_formula_sum 'Mg4 Cr8 O16'
_cell_length_a 8.943
_cell_length_b 2.937
_cell_length_c 10.521
_cell_angle_alpha 90.00
_cell_angle_beta 90.00
_cell_angle_gamma 90.00
_symmetry_space_group_name_H-M 'P n m a'
_symmetry_Int_Tables_number 62
loop_
_symmetry_equiv_pos_as_xyz
'x,y,z'
'-x,-y,-z'
'-x+1/2,-y,z+1/2'
'x+1/2,y,-z+1/2'
'x+1/2,-y+1/2,-z+1/2'
'-x+1/2,y+1/2,z+1/2'
'-x,y+1/2,-z'
'x,-y+1/2,z'
loop_
_atom_site_label
_atom_site_type_symbol
_atom_site_fract_x
_atom_site_fract_y
_atom_site_fract_z
Mg1 Mg 0.238 0.250 0.156
Cr1 Cr 0.059 0.250 0.383
Cr2 Cr 0.087 0.250 0.899
O1 O 0.029 0.750 0.787
O2 O 0.091 0.250 0.575
O3 O 0.125 0.750 0.033
O4 O 0.204 0.750 0.321
```

Main lines, sorted by position (15° ≤ 2θ ≤ 90°):
| two_theta | Rel. int. |
| --- | --- |
| 19.58 | 264 |
| 19.86 | 504 |
| 34.09 | 556 |
| 34.58 | 1000 |
| 36.45 | 953 |
| 36.60 | 435 |
| 41.34 | 294 |
| 50.87 | 625 |
| 51.36 | 318 |
| 63.36 | 440 |

***

Which formula does entry 2 have?
Li2Si4Ni4O13